(1)
Calculated powder diffraction line list of CsAuI2 for CuKα, from a PBE-relaxed structure.
Intensities are scaled so that the largest is 100.

Cell and atoms:
```
CsAuI2
1.0
8.4218 0.0000 0.0000
-4.2109 7.2935 0.0000
0.0000 0.0000 10.1394
Cs Au I
3 3 6
direct
0.0000 0.6270 0.1667
0.3730 0.3730 0.5000
0.6270 0.0000 0.8333
0.0000 0.7245 0.6667
0.2755 0.2755 0.0000
0.7245 0.0000 0.3333
0.1301 0.4252 0.8586
0.2951 0.8699 0.5253
0.4252 0.1301 0.1414
0.5748 0.7049 0.1920
0.7049 0.5748 0.8080
0.8699 0.2951 0.4747
```

Most intense lines, 2θ from 10° to 90°, sorted by position:
two_theta, I/Imax
15.0, 46
21.1, 59
21.3, 100
22.9, 56
26.0, 26
30.2, 97
33.7, 25
37.1, 23
43.5, 34
45.7, 30

***

(2)
Calculated powder diffraction line list of ZnNiCl for CuKα, from a PBE-relaxed structure.
Intensities are scaled so that the largest is 100.

Cell and atoms:
```
ZnNiCl
1.0
0.0000 2.7402 5.6472
1.5715 0.0000 5.6472
1.5715 2.7402 0.0000
Zn Ni Cl
1 1 1
direct
0.0000 0.0000 0.0000
0.6584 0.6584 0.3416
0.3192 0.3192 0.6808
```

Most intense lines, 2θ from 10° to 90°, sorted by position:
two_theta, I/Imax
15.7, 12
32.7, 48
40.9, 100
48.4, 14
58.8, 8
59.6, 15
63.9, 24
68.9, 10
85.1, 10
88.6, 9

***

(3)
Calculated powder diffraction line list of PmCo9B4 for CuKα, from a PBE-relaxed structure.
Intensities are scaled so that the largest is 100.

Cell and atoms:
```
PmCo9B4
1.0
-3.6629 3.6629 5.4088
3.6629 -3.6629 5.4088
3.6629 3.6629 -5.4088
Pm Co B
2 18 8
direct
0.2463 0.2463 0.0000
0.7537 0.7537 0.0000
0.0000 0.5000 0.5000
0.0487 0.8279 0.5203
0.0973 0.8040 0.9013
0.1721 0.6925 0.2209
0.1960 0.0973 0.2932
0.3070 0.4074 0.7145
0.3075 0.5284 0.4797
0.4074 0.6930 0.1004
0.4716 0.9513 0.7791
0.5000 0.0000 0.5000
0.5284 0.0487 0.2209
0.5926 0.3070 0.8996
0.6925 0.4716 0.5203
0.6930 0.5926 0.2855
0.8040 0.9027 0.7068
0.8279 0.3075 0.7791
0.9027 0.1960 0.0987
0.9513 0.1721 0.4797
0.0375 0.4982 0.8061
0.2314 0.0375 0.5393
0.3079 0.7686 0.8061
0.4982 0.6921 0.4607
0.5018 0.3079 0.5393
0.6921 0.2314 0.1939
0.7686 0.9625 0.4607
0.9625 0.5018 0.1939
```

Most intense lines, 2θ from 10° to 90°, sorted by position:
two_theta, I/Imax
33.1, 18
37.1, 22
37.5, 14
38.5, 9
38.9, 11
41.5, 9
42.4, 100
50.6, 13
56.1, 19
66.8, 12

***

(4)
Calculated powder diffraction line list of Tb8Ni2Ru for CuKα, from a PBE-relaxed structure.
Intensities are scaled so that the largest is 100.

Cell and atoms:
```
Tb8Ni2Ru
1.0
8.5505 -2.5178 0.0000
8.5505 2.5178 0.0000
-1.7978 0.0000 6.4035
Tb Ni Ru
8 2 1
direct
0.0361 0.0361 0.2928
0.2000 0.2000 0.8255
0.3297 0.3297 0.5240
0.4092 0.4092 0.0555
0.5908 0.5908 0.9445
0.6703 0.6703 0.4760
0.8000 0.8000 0.1745
0.9639 0.9639 0.7072
0.1894 0.1894 0.2190
0.8106 0.8106 0.7810
0.5000 0.5000 0.5000
```

Most intense lines, 2θ from 10° to 90°, sorted by position:
two_theta, I/Imax
30.0, 42
32.3, 100
32.5, 19
33.5, 13
34.9, 28
35.7, 49
38.0, 15
39.1, 11
62.0, 19
69.6, 11

***

(5)
Calculated powder diffraction line list of La2Y3ErTe6 for CuKα, from a PBE-relaxed structure.
Intensities are scaled so that the largest is 100.

Cell and atoms:
```
La2Y3ErTe6
1.0
9.6516 -2.2017 0.0000
9.6516 2.2017 0.0000
-2.0354 0.0000 8.6821
La Y Er Te
2 3 1 6
direct
0.1680 0.1680 0.3346
0.8320 0.8320 0.6654
0.1725 0.1725 0.8345
0.5000 0.5000 0.5000
0.8275 0.8275 0.1655
0.5000 0.5000 0.0000
0.0053 0.0053 0.7562
0.3373 0.3373 0.9301
0.3379 0.3379 0.4083
0.6621 0.6621 0.5917
0.6627 0.6627 0.0699
0.9947 0.9947 0.2438
```

Most intense lines, 2θ from 10° to 90°, sorted by position:
two_theta, I/Imax
28.5, 100
40.5, 13
40.7, 50
41.0, 13
50.2, 7
50.7, 13
59.0, 12
66.7, 11
66.8, 11
74.5, 8

***

(6)
Calculated powder diffraction line list of Ba3ZnTc2O9 for CuKα, from a PBE-relaxed structure.
Intensities are scaled so that the largest is 100.

Cell and atoms:
```
Ba3ZnTc2O9
1.0
5.7599 0.0000 0.0000
-2.8800 4.9883 0.0000
0.0000 0.0000 7.0824
Ba Zn Tc O
3 1 2 9
direct
0.0000 0.0000 0.0000
0.3333 0.6667 0.6549
0.6667 0.3333 0.3451
0.0000 0.0000 0.5000
0.3333 0.6667 0.1610
0.6667 0.3333 0.8390
0.0000 0.5000 0.0000
0.1735 0.3470 0.3211
0.1735 0.8265 0.3211
0.3470 0.1735 0.6789
0.5000 0.0000 0.0000
0.5000 0.5000 0.0000
0.6530 0.8265 0.3211
0.8265 0.1735 0.6789
0.8265 0.6530 0.6789
```

Most intense lines, 2θ from 10° to 90°, sorted by position:
two_theta, I/Imax
31.0, 100
38.3, 5
44.4, 31
55.0, 10
55.2, 29
64.5, 9
64.7, 9
73.4, 8
73.5, 9
89.8, 5

***

(7)
Calculated powder diffraction line list of Rb3TaO6 for CuKα, from a PBE-relaxed structure.
Intensities are scaled so that the largest is 100.

Cell and atoms:
```
Rb3TaO6
1.0
6.8387 0.0000 0.0000
-3.4193 5.9225 0.0000
0.0000 0.0000 10.9272
Rb Ta O
6 2 12
direct
0.0000 0.0000 0.0000
0.0000 0.0000 0.5000
0.3333 0.6667 0.0822
0.3333 0.6667 0.4178
0.6667 0.3333 0.5822
0.6667 0.3333 0.9178
0.3333 0.6667 0.7500
0.6667 0.3333 0.2500
0.1606 0.3990 0.6443
0.1606 0.7616 0.8557
0.2384 0.3990 0.8557
0.2384 0.8394 0.6443
0.3990 0.1606 0.3557
0.3990 0.2384 0.1443
0.6010 0.7616 0.6443
0.6010 0.8394 0.8557
0.7616 0.1606 0.1443
0.7616 0.6010 0.3557
0.8394 0.2384 0.3557
0.8394 0.6010 0.1443
```

Most intense lines, 2θ from 10° to 90°, sorted by position:
two_theta, I/Imax
15.0, 20
17.0, 43
22.1, 31
26.1, 100
28.8, 74
39.2, 43
46.0, 21
47.7, 42
53.6, 17
62.0, 19

***

(8)
Calculated powder diffraction line list of CrGeTe3 for CuKα, from a PBE-relaxed structure.
Intensities are scaled so that the largest is 100.

Cell and atoms:
```
CrGeTe3
1.0
2.0098 -10.1664 0.0000
2.0098 10.1664 0.0000
0.0000 0.0000 6.9495
Cr Ge Te
2 2 6
direct
0.1733 0.8267 0.5000
0.8267 0.1733 0.0000
0.3542 0.6458 0.5291
0.6458 0.3542 0.0291
0.0800 0.9200 0.2154
0.2542 0.7458 0.8261
0.4002 0.5998 0.1529
0.5998 0.4002 0.6529
0.7458 0.2542 0.3261
0.9200 0.0800 0.7154
```

Most intense lines, 2θ from 10° to 90°, sorted by position:
two_theta, I/Imax
26.3, 18
27.1, 16
28.8, 100
31.2, 24
33.9, 22
37.1, 25
45.1, 18
45.4, 30
48.0, 22
55.9, 16